1.
Structure and theoretical X-ray diffraction stick pattern of CaPm2Ga4 (the GGA-PBE geometry in Alexandria; Cu Kα).
Intensities are scaled so that the largest is 100.

Cell and atoms:
Unit cell a=9.811 b=9.811 c=9.811 alpha=155.31 beta=153.72 gamma=36.37
Sites, in units of the cell vectors:
1 Ca 0.000 0.000 0.000
2 Pm 0.184 0.684 0.500
3 Pm 0.816 0.316 0.500
4 Ga 0.354 0.854 0.500
5 Ga 0.434 0.434 0.000
6 Ga 0.566 0.566 0.000
7 Ga 0.646 0.146 0.500

Main lines, by angle (10 to 80 degrees two-theta):
- 2θ = 29.2°, d = 3.056 Å, I = 25
- 2θ = 30.8°, d = 2.904 Å, I = 100
- 2θ = 31.3°, d = 2.861 Å, I = 51
- 2θ = 40.1°, d = 2.248 Å, I = 27
- 2θ = 40.4°, d = 2.230 Å, I = 33
- 2θ = 41.4°, d = 2.179 Å, I = 53
- 2θ = 43.1°, d = 2.097 Å, I = 27
- 2θ = 54.2°, d = 1.691 Å, I = 21
- 2θ = 58.3°, d = 1.584 Å, I = 30
- 2θ = 60.6°, d = 1.528 Å, I = 19



2.
Structure and theoretical X-ray diffraction stick pattern of CaPm5Ga3 (the GGA-PBE geometry in Alexandria; Cu Kα).
Intensities are scaled so that the largest is 100.

Cell and atoms:
Unit cell a=9.175 b=9.175 c=6.753 alpha=90.00 beta=90.00 gamma=120.00
Sites, in units of the cell vectors:
1 Ca 0.000 0.000 0.000
2 Ca 0.000 0.000 0.500
3 Pm 0.000 0.334 0.250
4 Pm 0.000 0.666 0.750
5 Pm 0.333 0.667 0.000
6 Pm 0.333 0.667 0.500
7 Pm 0.334 0.000 0.250
8 Pm 0.334 0.334 0.750
9 Pm 0.666 0.000 0.750
10 Pm 0.666 0.666 0.250
11 Pm 0.667 0.333 0.000
12 Pm 0.667 0.333 0.500
13 Ga 0.000 0.333 0.750
14 Ga 0.000 0.667 0.250
15 Ga 0.333 0.000 0.750
16 Ga 0.333 0.333 0.250
17 Ga 0.667 0.000 0.250
18 Ga 0.667 0.667 0.750

Main lines, by angle (10 to 80 degrees two-theta):
- 2θ = 11.1°, d = 7.945 Å, I = 14
- 2θ = 23.4°, d = 3.795 Å, I = 19
- 2θ = 32.9°, d = 2.719 Å, I = 96
- 2θ = 33.8°, d = 2.648 Å, I = 100
- 2θ = 43.4°, d = 2.084 Å, I = 11
- 2θ = 47.9°, d = 1.897 Å, I = 33
- 2θ = 60.0°, d = 1.542 Å, I = 34
- 2θ = 60.6°, d = 1.529 Å, I = 18
- 2θ = 65.6°, d = 1.424 Å, I = 29
- 2θ = 71.2°, d = 1.324 Å, I = 11